For Ce8CuIr5, DFT lattice parameters and positions (GGA-PBE) gives the computed PXRD pattern in this record (copper Kα).
No peak broadening, texture or thermal motion is included.

Top 12 peaks for 15° ≤ 2θ ≤ 90°, by angle:
Position (°2θ)	I (rel.)	index
32.3	100	1 3 0
32.7	43	1 0 3
38.5	26	3 2 1
38.6	21	1 3 2
38.8	28	1 2 3
46.4	10	4 0 2
49.0	14	2 3 3
51.2	11	4 2 2
53.3	15	4 3 1
53.8	14	3 1 4
65.7	19	1 6 1
80.5	14	7 2 1

Cell: 8.770 8.770 8.639 Å, 90.00 90.00 90.00°
Space group I-4 (No. 82)
Unique sites:
Ce1 0.061 0.183 0.182 x8
Ce2 0.062 0.306 0.568 x8
Cu1 0.000 0.500 0.250 x2
Ir1 0.000 0.000 0.500 x2
Ir2 0.132 0.251 0.877 x8